Starting from the PBE+U geometry in Alexandria, the X-ray diffraction stick pattern of Mn2HSeO was calculated for Cu Kα (weighted mean of Kα1 and Kα2).
Intensities are scaled so that the largest is 100.

Unit cell a=3.481 b=3.491 c=6.865 alpha=104.58 beta=90.11 gamma=119.76
Space group P1 (No. 1)
One atom of each set of equivalent atoms:
Mn: 0.000 0.000 0.000 [1 per cell]
Mn: 0.192 0.380 0.569 [1 per cell]
H: 0.535 0.068 0.601 [1 per cell]
Se: 0.764 0.526 0.292 [1 per cell]
O: 0.293 0.586 0.878 [1 per cell]

Peak list (8 most intense, 2θ = 15–90°, in order of falling intensity)
two_theta	I_rel	(hkl)
34.8	100	1 0 1
37.6	62	1 0 -2
44.0	34	-1 1 2
37.4	31	0 1 1
29.9	31	0 1 -1
31.0	27	1 -1 1
41.2	23	0 0 3
52.3	20	1 1 -1